For Na2AsPH8O10, a structure optimized by DFT (PBE) gives the computed X-ray powder pattern in this record (Cu Kα X-rays).

Structural model:
```
data_Na2AsPH8O10
_space_group_name_H-M_alt 'P 1 21 1'
_space_group_IT_number 4
_cell_length_a 5.2394
_cell_length_b 10.4695
_cell_length_c 8.3511
_cell_angle_alpha 90.00
_cell_angle_beta 90.19
_cell_angle_gamma 90.00
loop_
_space_group_symop_operation_xyz
'x,y,z'
'-x,y+1/2,-z'
loop_
_atom_site_label
_atom_site_type_symbol
_atom_site_fract_x
_atom_site_fract_y
_atom_site_fract_z
Na1 Na 0.1799 0.0000 0.4084
Na2 Na 0.3120 0.6740 0.9140
As1 As 0.3308 0.2502 0.6950
P1 P 0.1552 0.4301 0.1964
H1 H 0.0583 0.6801 0.2337
H2 H 0.1016 0.7426 0.6263
H3 H 0.2004 0.0347 0.0451
H4 H 0.2212 0.2990 0.9961
H5 H 0.2731 0.3908 0.4868
H6 H 0.2973 0.6443 0.5554
H7 H 0.3994 0.9383 0.1158
H8 H 0.4753 0.9987 0.7253
O1 O 0.0058 0.7578 0.2999
O2 O 0.0454 0.4047 0.3632
O3 O 0.0674 0.5549 0.1180
O4 O 0.0871 0.3116 0.0859
O5 O 0.1690 0.6549 0.6406
O6 O 0.3269 0.0248 0.1321
O7 O 0.4051 0.3840 0.5778
O8 O 0.4339 0.1153 0.6038
O9 O 0.4459 0.2802 0.8815
O10 O 0.4595 0.4251 0.2049
```

Peak list (8 most intense, 10 to 90 degrees two-theta, by angle)
2θ = 13.56°, 6.529 Å, intensity 60, hkl 0 1 1; 2θ = 18.94°, 4.685 Å, intensity 45, hkl 1 1 0; 2θ = 21.74°, 4.088 Å, intensity 41, hkl 1 1 -1; 2θ = 22.93°, 3.878 Å, intensity 31, hkl 0 1 2; 2θ = 26.33°, 3.385 Å, intensity 100, hkl 1 2 1; 2θ = 27.31°, 3.266 Å, intensity 24, hkl 1 0 -2; 2θ = 27.70°, 3.220 Å, intensity 49, hkl 0 3 1; 2θ = 28.65°, 3.116 Å, intensity 33, hkl 1 1 2

***

For Ce6In3Co, a structure optimized by DFT (PBE) gives the computed X-ray powder pattern in this record (Cu Kα X-rays).

Structural model:
```
data_Ce6In3Co
_space_group_name_H-M_alt 'C 1 2/m 1'
_space_group_IT_number 12
_cell_length_a 10.4943
_cell_length_b 6.6489
_cell_length_c 8.0364
_cell_angle_alpha 90.00
_cell_angle_beta 102.48
_cell_angle_gamma 90.00
loop_
_space_group_symop_operation_xyz
'x,y,z'
'-x,-y,-z'
'-x,y,-z'
'x,-y,z'
'x+1/2,y+1/2,z'
'-x+1/2,-y+1/2,-z'
'-x+1/2,y+1/2,-z'
'x+1/2,-y+1/2,z'
loop_
_atom_site_label
_atom_site_type_symbol
_atom_site_fract_x
_atom_site_fract_y
_atom_site_fract_z
Ce1 Ce 0.1227 0.2154 0.3771
Ce2 Ce 0.1432 0.5000 0.8635
In1 In 0.0000 0.0000 0.0000
In2 In 0.1703 0.0000 0.7531
Co1 Co 0.0000 0.5000 0.5000
```

Peak list (8 most intense, 10 to 90 degrees two-theta, by angle)
2θ = 25.44°, 3.502 Å, intensity 35, hkl 2 0 -2; 2θ = 29.17°, 3.061 Å, intensity 68, hkl 0 2 1; 2θ = 29.41°, 3.037 Å, intensity 63, hkl 3 1 -1; 2θ = 31.58°, 2.833 Å, intensity 100, hkl 2 0 2; 2θ = 32.79°, 2.731 Å, intensity 74, hkl 2 2 -1; 2θ = 35.01°, 2.563 Å, intensity 50, hkl 4 0 0; 2θ = 35.41°, 2.535 Å, intensity 69, hkl 2 2 1; 2θ = 36.18°, 2.483 Å, intensity 61, hkl 1 1 -3

***

For BC3, a structure optimized by DFT (PBE) gives the computed X-ray powder pattern in this record (Cu Kα X-rays).

Structural model:
```
data_BC3
_space_group_name_H-M_alt 'P 3 m 1'
_space_group_IT_number 156
_cell_length_a 2.5697
_cell_length_b 2.5697
_cell_length_c 12.9897
_cell_angle_alpha 90.00
_cell_angle_beta 90.00
_cell_angle_gamma 120.00
loop_
_space_group_symop_operation_xyz
'x,y,z'
'-y,x-y,z'
'-x+y,-x,z'
'-y,-x,z'
'-x+y,y,z'
'x,x-y,z'
loop_
_atom_site_label
_atom_site_type_symbol
_atom_site_fract_x
_atom_site_fract_y
_atom_site_fract_z
B1 B 0.0000 0.0000 0.0000
B2 B 0.3333 0.6667 0.1717
B3 B 0.6667 0.3333 0.3474
C1 C 0.0000 0.0000 0.4002
C2 C 0.0000 0.0000 0.5163
C3 C 0.0000 0.0000 0.8735
C4 C 0.3333 0.6667 0.0508
C5 C 0.3333 0.6667 0.5569
C6 C 0.3333 0.6667 0.6766
C7 C 0.6667 0.3333 0.2270
C8 C 0.6667 0.3333 0.7151
C9 C 0.6667 0.3333 0.8364
```

Peak list (8 most intense, 10 to 90 degrees two-theta, by angle)
2θ = 41.72°, 2.165 Å, intensity 28, hkl 0 0 6; 2θ = 42.96°, 2.105 Å, intensity 100, hkl 0 1 2; 2θ = 71.99°, 1.312 Å, intensity 23, hkl 0 1 8; 2θ = 73.74°, 1.285 Å, intensity 25, hkl 1 1 0; 2θ = 79.08°, 1.211 Å, intensity 3, hkl 0 1 9; 2θ = 86.82°, 1.122 Å, intensity 9, hkl 1 0 10; 2θ = 88.49°, 1.105 Å, intensity 13, hkl 1 1 6; 2θ = 89.33°, 1.097 Å, intensity 8, hkl 2 0 2